No. 1
Diffraction record for Pr3ReO7. The PXRD pattern is computed, not measured: it uses a GGA-PBE-relaxed structure and Cu Kα X-rays.
Lines closer than 0.1° are merged.

Unit cell a=6.7424 b=6.7424 c=7.6409 alpha=90.00 beta=90.00 gamma=69.07
Sites, in units of the cell vectors:
Pr 0.0000 0.0000 0.0000
Pr 0.0000 0.0000 0.5000
Pr 0.0680 0.4747 0.7500
Pr 0.4747 0.0680 0.2500
Pr 0.5253 0.9320 0.7500
Pr 0.9320 0.5253 0.2500
Re 0.5000 0.5000 0.0000
Re 0.5000 0.5000 0.5000
O 0.1079 0.1561 0.2500
O 0.1561 0.1079 0.7500
O 0.1871 0.5651 0.0300
O 0.1871 0.5651 0.4700
O 0.4349 0.8129 0.0300
O 0.4349 0.8129 0.4700
O 0.4550 0.5450 0.7500
O 0.5450 0.4550 0.2500
O 0.5651 0.1871 0.5300
O 0.5651 0.1871 0.9700
O 0.8129 0.4349 0.5300
O 0.8129 0.4349 0.9700
O 0.8439 0.8921 0.2500
O 0.8921 0.8439 0.7500

Top 8 peaks for 2θ from 15° to 90°, low angle first:
d [Å], I (rel.)
3.148, 100.0
2.777, 12.7
2.702, 22.1
1.937, 26.1
1.911, 12.9
1.666, 12.1
1.633, 23.8
1.574, 8.5

***

No. 2
Diffraction record for PrSc2ReO8. The PXRD pattern is computed, not measured: it uses a GGA-PBE-relaxed structure and Cu Kα X-rays.
Lines closer than 0.1° are merged.

Unit cell a=4.9075 b=6.6882 c=4.9119 alpha=90.00 beta=91.68 gamma=90.00
Sites, in units of the cell vectors:
Pr 0.0000 0.0000 0.0000
Sc 0.5000 0.2410 0.5000
Sc 0.5000 0.7590 0.5000
Re 0.0000 0.5000 0.0000
O 0.1959 0.2969 0.1947
O 0.1959 0.7031 0.1947
O 0.2698 0.5000 0.7291
O 0.3239 0.0000 0.6741
O 0.6761 0.0000 0.3259
O 0.7302 0.5000 0.2709
O 0.8041 0.2969 0.8053
O 0.8041 0.7031 0.8053

Top 8 peaks for 2θ from 15° to 90°, low angle first:
d [Å], I (rel.)
4.908, 80.9
3.522, 62.6
3.421, 58.2
2.763, 100.0
2.454, 24.8
2.391, 28.1
1.850, 41.4
1.820, 39.5

***

No. 3
Diffraction record for SrPr2RhO5. The PXRD pattern is computed, not measured: it uses a GGA-PBE-relaxed structure and Cu Kα X-rays.
Lines closer than 0.1° are merged.

Unit cell a=6.8291 b=6.8291 c=5.8867 alpha=90.00 beta=90.00 gamma=90.00
Sites, in units of the cell vectors:
Sr 0.0000 0.0000 0.0000
Sr 0.5000 0.5000 0.0000
Pr 0.1731 0.3269 0.5000
Pr 0.3269 0.8269 0.5000
Pr 0.6731 0.1731 0.5000
Pr 0.8269 0.6731 0.5000
Rh 0.0000 0.5000 0.0000
Rh 0.5000 0.0000 0.0000
O 0.0000 0.0000 0.5000
O 0.1425 0.6425 0.2462
O 0.1425 0.6425 0.7538
O 0.3575 0.1425 0.2462
O 0.3575 0.1425 0.7538
O 0.5000 0.5000 0.5000
O 0.6425 0.8575 0.2462
O 0.6425 0.8575 0.7538
O 0.8575 0.3575 0.2462
O 0.8575 0.3575 0.7538

Top 8 peaks for 2θ from 15° to 90°, low angle first:
d [Å], I (rel.)
3.054, 22.5
2.954, 100.0
2.943, 39.4
2.711, 59.9
2.414, 23.3
2.119, 44.2
1.867, 20.3
1.701, 19.9

***

No. 4
Diffraction record for Pr2TlRhO6. The PXRD pattern is computed, not measured: it uses a GGA-PBE-relaxed structure and Cu Kα X-rays.
Lines closer than 0.1° are merged.

Unit cell a=5.6563 b=6.0659 c=9.8323 alpha=90.00 beta=123.87 gamma=90.00
Sites, in units of the cell vectors:
Pr 0.2244 0.0725 0.2501
Pr 0.2244 0.4275 0.7501
Pr 0.7756 0.5725 0.2499
Pr 0.7756 0.9275 0.7499
Tl 0.5000 0.0000 0.0000
Tl 0.5000 0.5000 0.5000
Rh 0.0000 0.0000 0.5000
Rh 0.0000 0.5000 0.0000
O 0.1030 0.2082 0.9309
O 0.1030 0.2918 0.4309
O 0.2391 0.6836 0.9392
O 0.2391 0.8164 0.4392
O 0.3624 0.0519 0.7336
O 0.3624 0.4481 0.2336
O 0.6376 0.5519 0.7664
O 0.6376 0.9481 0.2664
O 0.7609 0.1836 0.5608
O 0.7609 0.3164 0.0608
O 0.8970 0.7082 0.5691
O 0.8970 0.7918 0.0691

Top 8 peaks for 2θ from 15° to 90°, low angle first:
d [Å], I (rel.)
3.033, 40.5
2.929, 100.0
2.883, 97.1
2.828, 45.3
2.068, 33.7
2.041, 24.3
1.660, 23.1
1.635, 23.1

***

No. 5
Diffraction record for PrRuO5. The PXRD pattern is computed, not measured: it uses a GGA-PBE-relaxed structure and Cu Kα X-rays.
Lines closer than 0.1° are merged.

Unit cell a=7.8156 b=7.8156 c=4.4333 alpha=90.00 beta=90.00 gamma=90.00
Sites, in units of the cell vectors:
Pr 0.2500 0.2500 0.2496
Pr 0.7500 0.7500 0.7504
Ru 0.2500 0.7500 0.0000
Ru 0.7500 0.2500 0.0000
O 0.0665 0.7500 0.7688
O 0.2500 0.2500 0.7473
O 0.2500 0.5665 0.2312
O 0.2500 0.9335 0.2312
O 0.4335 0.7500 0.7688
O 0.5665 0.2500 0.2312
O 0.7500 0.0665 0.7688
O 0.7500 0.4335 0.7688
O 0.7500 0.7500 0.2527
O 0.9335 0.2500 0.2312

Top 8 peaks for 2θ from 15° to 90°, low angle first:
d [Å], I (rel.)
3.908, 100.0
3.856, 53.3
3.458, 22.3
2.763, 25.0
2.745, 16.3
2.246, 20.9
2.057, 25.3
1.650, 33.7

***

No. 6
Diffraction record for PrRuO. The PXRD pattern is computed, not measured: it uses a GGA-PBE-relaxed structure and Cu Kα X-rays.
Lines closer than 0.1° are merged.

Unit cell a=8.3989 b=8.3989 c=5.4617 alpha=90.00 beta=90.00 gamma=36.63
Sites, in units of the cell vectors:
Pr 0.1675 0.1675 0.0000
Pr 0.3325 0.3325 0.5000
Pr 0.6675 0.6675 0.5000
Pr 0.8325 0.8325 0.0000
Ru 0.1470 0.8530 0.6835
Ru 0.3530 0.6470 0.1835
Ru 0.6470 0.3530 0.8165
Ru 0.8530 0.1470 0.3165
O 0.0010 0.4990 0.7500
O 0.4990 0.0010 0.2500
O 0.5010 0.9990 0.7500
O 0.9990 0.5010 0.2500

Top 8 peaks for 2θ from 15° to 90°, low angle first:
d [Å], I (rel.)
3.089, 100.0
2.658, 31.0
2.584, 17.1
2.277, 12.6
2.253, 17.5
1.898, 13.6
1.606, 14.4
1.231, 11.4